Record 1
Starting from a cell relaxed with GGA-PBE, the powder diffraction line list of Cr2HgOs was simulated for a wavelength of 1.5418 Å.

Principal peaks in the range 10 to 80 degrees two-theta, low angle first:
| 2theta | intensity |
| --- | --- |
| 23.1 | 34 |
| 32.3 | 29 |
| 40.1 | 100 |
| 46.4 | 34 |
| 47.2 | 14 |
| 52.5 | 17 |
| 58.4 | 14 |
| 67.7 | 11 |
| 68.4 | 19 |
| 72.6 | 7 |

a b c (Å): 2.7677 2.7677 7.6962
angles (deg): 90.00 90.00 90.00
Fractional coordinates of all 4 atoms:
Cr: 0.0000 0.0000 0.2210
Cr: 0.0000 0.0000 0.7790
Hg: 0.5000 0.5000 0.5000
Os: 0.5000 0.5000 0.0000

=====

Record 2
Starting from a cell relaxed with GGA-PBE, the powder diffraction line list of Rb2Cr2Hg was simulated for a wavelength of 1.5418 Å.

Principal peaks in the range 10 to 80 degrees two-theta, low angle first:
| 2theta | intensity |
| --- | --- |
| 11.5 | 42 |
| 23.1 | 94 |
| 25.9 | 100 |
| 28.0 | 75 |
| 31.5 | 43 |
| 34.0 | 28 |
| 34.6 | 55 |
| 36.6 | 60 |
| 42.1 | 38 |
| 55.8 | 46 |

a b c (Å): 10.8869 10.8869 3.4984
angles (deg): 90.00 90.00 90.00
Fractional coordinates of all 10 atoms:
Rb: 0.1960 0.3040 0.0000
Rb: 0.3040 0.8040 0.0000
Rb: 0.6960 0.1960 0.0000
Rb: 0.8040 0.6960 0.0000
Cr: 0.0946 0.5946 0.5000
Cr: 0.4054 0.0946 0.5000
Cr: 0.5946 0.9054 0.5000
Cr: 0.9054 0.4054 0.5000
Hg: 0.0000 0.0000 0.0000
Hg: 0.5000 0.5000 0.0000

=====

Record 3
Starting from a cell relaxed with GGA-PBE, the powder diffraction line list of CrReHg2 was simulated for a wavelength of 1.5418 Å.

Principal peaks in the range 10 to 80 degrees two-theta, low angle first:
| 2theta | intensity |
| --- | --- |
| 32.0 | 29 |
| 32.8 | 21 |
| 37.4 | 100 |
| 43.0 | 42 |
| 55.1 | 20 |
| 62.5 | 14 |
| 63.4 | 10 |
| 65.0 | 19 |
| 72.4 | 9 |
| 75.1 | 27 |

a b c (Å): 2.9737 2.9737 8.1977
angles (deg): 90.00 90.00 90.00
Fractional coordinates of all 4 atoms:
Cr: 0.0000 0.0000 0.0000
Re: 0.5000 0.5000 0.8396
Hg: 0.0000 0.0000 0.5697
Hg: 0.5000 0.5000 0.2567

=====

Record 4
Starting from a cell relaxed with GGA-PBE, the powder diffraction line list of CrHg4Ru was simulated for a wavelength of 1.5418 Å.

Principal peaks in the range 10 to 80 degrees two-theta, low angle first:
| 2theta | intensity |
| --- | --- |
| 19.3 | 53 |
| 37.5 | 100 |
| 39.2 | 72 |
| 45.6 | 23 |
| 50.0 | 15 |
| 60.5 | 33 |
| 66.5 | 33 |
| 70.0 | 11 |
| 78.9 | 12 |
| 80.0 | 29 |

a b c (Å): 5.6256 5.6256 5.6256
angles (deg): 60.00 60.00 60.00
Fractional coordinates of all 6 atoms:
Cr: 0.0000 0.0000 0.0000
Hg: 0.1258 0.6247 0.6247
Hg: 0.6247 0.1258 0.6247
Hg: 0.6247 0.6247 0.1258
Hg: 0.6247 0.6247 0.6247
Ru: 0.2500 0.2500 0.2500

=====

Record 5
Starting from a cell relaxed with GGA-PBE, the powder diffraction line list of Cr2HgS4 was simulated for a wavelength of 1.5418 Å.

Principal peaks in the range 10 to 80 degrees two-theta, low angle first:
| 2theta | intensity |
| --- | --- |
| 15.9 | 32 |
| 20.7 | 42 |
| 26.0 | 47 |
| 27.1 | 100 |
| 29.9 | 59 |
| 33.2 | 54 |
| 33.7 | 70 |
| 34.0 | 53 |
| 36.5 | 44 |
| 56.4 | 31 |

a b c (Å): 11.6718 7.5123 11.9562
angles (deg): 90.00 90.00 90.00
Fractional coordinates of all 56 atoms:
Cr: 0.1169 0.1425 0.0000
Cr: 0.1327 0.6524 0.6164
Cr: 0.1463 0.8977 0.3052
Cr: 0.1520 0.3957 0.2419
Cr: 0.3480 0.3957 0.7419
Cr: 0.3537 0.8977 0.8052
Cr: 0.3673 0.6524 0.1164
Cr: 0.3831 0.1425 0.5000
Cr: 0.6169 0.8575 0.0000
Cr: 0.6327 0.3476 0.6164
Cr: 0.6463 0.1023 0.3052
Cr: 0.6520 0.6043 0.2419
Cr: 0.8480 0.6043 0.7419
Cr: 0.8537 0.1023 0.8052
Cr: 0.8673 0.3476 0.1164
Cr: 0.8831 0.8575 0.5000
Hg: 0.0739 0.6231 0.9492
Hg: 0.1180 0.1255 0.6419
Hg: 0.3820 0.1255 0.1419
Hg: 0.4261 0.6231 0.4492
Hg: 0.5739 0.3769 0.9492
Hg: 0.6180 0.8745 0.6419
Hg: 0.8820 0.8745 0.1419
Hg: 0.9261 0.3769 0.4492
S: 0.0032 0.5704 0.1648
S: 0.0211 0.0641 0.4396
S: 0.0257 0.1681 0.1788
S: 0.0439 0.6853 0.4341
S: 0.2131 0.8896 0.1047
S: 0.2288 0.6411 0.7937
S: 0.2337 0.1552 0.8318
S: 0.2376 0.3956 0.0679
S: 0.2624 0.3956 0.5679
S: 0.2663 0.1552 0.3318
S: 0.2712 0.6411 0.2937
S: 0.2869 0.8896 0.6047
S: 0.4561 0.6853 0.9341
S: 0.4743 0.1681 0.6788
S: 0.4789 0.0641 0.9396
S: 0.4968 0.5704 0.6648
S: 0.5032 0.4296 0.1648
S: 0.5211 0.9359 0.4396
S: 0.5257 0.8319 0.1788
S: 0.5439 0.3147 0.4341
S: 0.7131 0.1104 0.1047
S: 0.7288 0.3589 0.7937
S: 0.7337 0.8448 0.8318
S: 0.7376 0.6044 0.0679
S: 0.7624 0.6044 0.5679
S: 0.7663 0.8448 0.3318
S: 0.7712 0.3589 0.2937
S: 0.7869 0.1104 0.6047
S: 0.9561 0.3147 0.9341
S: 0.9743 0.8319 0.6788
S: 0.9789 0.9359 0.9396
S: 0.9968 0.4296 0.6648

=====

Record 6
Starting from a cell relaxed with GGA-PBE, the powder diffraction line list of Cr2HgS4 was simulated for a wavelength of 1.5418 Å.

Principal peaks in the range 10 to 80 degrees two-theta, low angle first:
| 2theta | intensity |
| --- | --- |
| 14.8 | 15 |
| 24.4 | 89 |
| 28.6 | 100 |
| 37.9 | 19 |
| 42.9 | 37 |
| 45.6 | 50 |
| 49.9 | 51 |
| 56.3 | 15 |
| 67.9 | 23 |
| 69.9 | 21 |

a b c (Å): 7.3077 7.3077 7.3077
angles (deg): 60.00 60.00 60.00
Fractional coordinates of all 14 atoms:
Cr: 0.0000 0.0000 0.0000
Cr: 0.0000 0.0000 0.5000
Cr: 0.0000 0.5000 0.0000
Cr: 0.5000 0.0000 0.0000
Hg: 0.3750 0.3750 0.3750
Hg: 0.6250 0.6250 0.6250
S: 0.1989 0.7670 0.7670
S: 0.2330 0.2330 0.2330
S: 0.2330 0.2330 0.8011
S: 0.2330 0.8011 0.2330
S: 0.7670 0.1989 0.7670
S: 0.7670 0.7670 0.1989
S: 0.7670 0.7670 0.7670
S: 0.8011 0.2330 0.2330

=====

Record 7
Starting from a cell relaxed with GGA-PBE, the powder diffraction line list of TiCr2Hg2S6 was simulated for a wavelength of 1.5418 Å.

Principal peaks in the range 10 to 80 degrees two-theta, low angle first:
| 2theta | intensity |
| --- | --- |
| 18.2 | 32 |
| 19.0 | 38 |
| 19.5 | 92 |
| 32.0 | 50 |
| 33.9 | 50 |
| 34.1 | 100 |
| 35.4 | 31 |
| 41.1 | 37 |
| 46.1 | 34 |
| 55.7 | 40 |

a b c (Å): 5.7139 5.7139 9.3069
angles (deg): 96.16 96.16 119.98
Fractional coordinates of all 11 atoms:
Ti: 0.0000 0.0000 0.0000
Cr: 0.3337 0.6663 0.0000
Cr: 0.6663 0.3337 0.0000
Hg: 0.1666 0.8334 0.5000
Hg: 0.8334 0.1666 0.5000
S: 0.0544 0.3975 0.1559
S: 0.2880 0.2880 0.8437
S: 0.3975 0.0544 0.1559
S: 0.6025 0.9456 0.8441
S: 0.7120 0.7120 0.1563
S: 0.9456 0.6025 0.8441

=====

Record 8
Starting from a cell relaxed with GGA-PBE, the powder diffraction line list of CrHg2Sb was simulated for a wavelength of 1.5418 Å.

Principal peaks in the range 10 to 80 degrees two-theta, low angle first:
| 2theta | intensity |
| --- | --- |
| 17.9 | 18 |
| 29.6 | 12 |
| 34.8 | 100 |
| 36.3 | 22 |
| 42.4 | 29 |
| 57.0 | 24 |
| 61.5 | 10 |
| 64.4 | 17 |
| 72.7 | 24 |
| 73.6 | 11 |

a b c (Å): 5.7949 5.7949 5.7949
angles (deg): 136.82 136.82 62.72
Fractional coordinates of all 4 atoms:
Cr: 0.0000 0.0000 0.0000
Hg: 0.2500 0.7500 0.5000
Hg: 0.7500 0.2500 0.5000
Sb: 0.5000 0.5000 0.0000